(1)
For ScPtS, a structure optimized by DFT (PBE) gives the theoretical PXRD pattern in this record (Cu Kα (weighted mean of Kα1 and Kα2)).
Neutral-atom scattering factors, no anomalous dispersion.

Structural model:
```
ScPtS
1.0
3.491 0.000 0.000
0.000 3.491 0.000
0.000 0.000 8.913
Sc Pt S
2 2 2
Direct
0.250 0.250 0.249 Sc
0.750 0.750 0.751 Sc
0.250 0.250 0.926 Pt
0.750 0.750 0.074 Pt
0.250 0.250 0.648 S
0.750 0.750 0.352 S
```

Main lines, in order of rising 2θ (2θ from 10° to 80°):
2θ (°)  I (rel.)
32.6  42
36.4  78
37.8  45
39.8  100
48.5  39
52.4  27
67.8  41
74.2  23

(2)
For Pt4SeS3, a structure optimized by DFT (PBE) gives the theoretical PXRD pattern in this record (Cu Kα (weighted mean of Kα1 and Kα2)).
Neutral-atom scattering factors, no anomalous dispersion.

Structural model:
```
Pt4SeS3
1.0
3.575 0.000 0.000
0.000 3.575 0.000
0.000 0.000 12.420
Pt Se S
4 1 3
Direct
0.000 0.500 0.122 Pt
0.000 0.500 0.633 Pt
0.500 0.000 0.367 Pt
0.500 0.000 0.878 Pt
0.000 0.000 0.500 Se
0.000 0.000 0.000 S
0.000 0.000 0.244 S
0.000 0.000 0.756 S
```

Main lines, in order of rising 2θ (2θ from 10° to 80°):
2θ (°)  I (rel.)
28.8  100
35.5  15
46.3  36
51.0  18
51.1  14
59.7  30
75.1  11
75.2  4

(3)
For SmPtS, a structure optimized by DFT (PBE) gives the theoretical PXRD pattern in this record (Cu Kα (weighted mean of Kα1 and Kα2)).
Neutral-atom scattering factors, no anomalous dispersion.

Structural model:
```
SmPtS
1.0
2.216 1.279 8.245
-2.216 1.279 8.245
0.000 -2.559 8.245
Sm Pt S
2 2 2
Direct
0.088 0.088 0.088 Sm
0.912 0.912 0.912 Sm
0.334 0.334 0.334 Pt
0.666 0.666 0.666 Pt
0.208 0.208 0.208 S
0.792 0.792 0.792 S
```

Main lines, in order of rising 2θ (2θ from 10° to 80°):
2θ (°)  I (rel.)
10.7  100
27.3  44
29.5  52
34.5  50
40.7  76
42.2  24
53.1  32
61.4  30

(4)
For Sn3Pt2S3, a structure optimized by DFT (PBE) gives the theoretical PXRD pattern in this record (Cu Kα (weighted mean of Kα1 and Kα2)).
Neutral-atom scattering factors, no anomalous dispersion.

Structural model:
```
Sn3Pt2S3
1.0
6.374 3.680 5.207
-6.374 3.680 5.207
0.000 -7.360 5.207
Sn Pt S
12 8 12
Direct
0.003 0.142 0.655 Sn
0.142 0.655 0.003 Sn
0.154 0.501 0.359 Sn
0.345 0.997 0.858 Sn
0.359 0.154 0.501 Sn
0.499 0.641 0.846 Sn
0.501 0.359 0.154 Sn
0.641 0.846 0.499 Sn
0.655 0.003 0.142 Sn
0.846 0.499 0.641 Sn
0.858 0.345 0.997 Sn
0.997 0.858 0.345 Sn
0.242 0.746 0.745 Pt
0.246 0.246 0.246 Pt
0.254 0.255 0.758 Pt
0.255 0.758 0.254 Pt
0.745 0.242 0.746 Pt
0.746 0.745 0.242 Pt
0.754 0.754 0.754 Pt
0.758 0.254 0.255 Pt
0.003 0.149 0.350 S
0.148 0.495 0.649 S
0.149 0.350 0.003 S
0.350 0.003 0.149 S
0.351 0.852 0.505 S
0.495 0.649 0.148 S
0.505 0.351 0.852 S
0.649 0.148 0.495 S
0.650 0.997 0.851 S
0.851 0.650 0.997 S
0.852 0.505 0.351 S
0.997 0.851 0.650 S
```

Main lines, in order of rising 2θ (2θ from 10° to 80°):
2θ (°)  I (rel.)
19.7  78
28.0  62
31.4  63
34.5  31
45.0  100
49.5  62
51.7  27
65.5  22

(5)
For SrPtS4, a structure optimized by DFT (PBE) gives the theoretical PXRD pattern in this record (Cu Kα (weighted mean of Kα1 and Kα2)).
Neutral-atom scattering factors, no anomalous dispersion.

Structural model:
```
SrPtS4
1.0
4.997 0.000 0.000
0.000 15.699 0.000
0.000 0.000 6.932
Sr Pt S
4 4 16
Direct
0.000 0.143 0.250 Sr
0.000 0.857 0.750 Sr
0.500 0.357 0.750 Sr
0.500 0.643 0.250 Sr
0.000 0.408 0.250 Pt
0.000 0.592 0.750 Pt
0.500 0.092 0.750 Pt
0.500 0.908 0.250 Pt
0.178 0.196 0.668 S
0.178 0.804 0.168 S
0.216 0.010 0.994 S
0.216 0.990 0.494 S
0.284 0.490 0.494 S
0.284 0.510 0.994 S
0.322 0.304 0.168 S
0.322 0.696 0.668 S
0.678 0.304 0.332 S
0.678 0.696 0.832 S
0.716 0.490 0.006 S
0.716 0.510 0.506 S
0.784 0.010 0.506 S
0.784 0.990 0.006 S
0.822 0.196 0.832 S
0.822 0.804 0.332 S
```

Main lines, in order of rising 2θ (2θ from 10° to 80°):
2θ (°)  I (rel.)
17.1  45
22.7  75
25.7  32
27.8  100
33.7  23
34.5  35
42.9  36
44.7  25

(6)
For SrU4Pt3S12, a structure optimized by DFT (PBE) gives the theoretical PXRD pattern in this record (Cu Kα (weighted mean of Kα1 and Kα2)).
Neutral-atom scattering factors, no anomalous dispersion.

Structural model:
```
SrU4Pt3S12
1.0
-4.882 4.882 4.882
4.882 -4.882 4.882
4.882 4.882 -4.882
Sr U Pt S
1 4 3 12
Direct
0.000 0.000 0.000 Sr
0.000 0.000 0.500 U
0.000 0.500 0.000 U
0.500 0.000 0.000 U
0.500 0.500 0.500 U
0.000 0.500 0.500 Pt
0.500 0.000 0.500 Pt
0.500 0.500 0.000 Pt
0.156 0.314 0.470 S
0.156 0.686 0.843 S
0.157 0.844 0.314 S
0.314 0.157 0.844 S
0.314 0.470 0.156 S
0.470 0.156 0.314 S
0.530 0.844 0.686 S
0.686 0.530 0.844 S
0.686 0.843 0.156 S
0.843 0.156 0.686 S
0.844 0.314 0.157 S
0.844 0.686 0.530 S
```

Main lines, in order of rising 2θ (2θ from 10° to 80°):
2θ (°)  I (rel.)
22.3  4
25.8  100
36.8  24
45.5  59
53.1  15
59.9  23
66.3  6
72.4  26

(7)
For TcPt2S4, a structure optimized by DFT (PBE) gives the theoretical PXRD pattern in this record (Cu Kα (weighted mean of Kα1 and Kα2)).
Neutral-atom scattering factors, no anomalous dispersion.

Structural model:
```
TcPt2S4
1.0
-2.429 2.429 5.712
2.429 -2.429 5.712
2.429 2.429 -5.712
Tc Pt S
1 2 4
Direct
0.000 0.000 0.000 Tc
0.388 0.388 0.000 Pt
0.612 0.612 0.000 Pt
0.000 0.500 0.500 S
0.195 0.195 0.000 S
0.500 0.000 0.500 S
0.805 0.805 0.000 S
```

Main lines, in order of rising 2θ (2θ from 10° to 80°):
2θ (°)  I (rel.)
15.5  24
19.9  43
25.9  100
29.8  34
37.0  64
41.1  25
43.8  57
58.6  48

(8)
For YTcPtS2, a structure optimized by DFT (PBE) gives the theoretical PXRD pattern in this record (Cu Kα (weighted mean of Kα1 and Kα2)).
Neutral-atom scattering factors, no anomalous dispersion.

Structural model:
```
YTcPtS2
1.0
4.574 0.000 0.000
0.000 4.574 0.000
0.000 0.000 4.987
Y Tc Pt S
1 1 1 2
Direct
0.000 0.000 0.000 Y
0.500 0.500 0.500 Tc
0.500 0.500 0.000 Pt
0.000 0.500 0.500 S
0.500 0.000 0.500 S
```

Main lines, in order of rising 2θ (2θ from 10° to 80°):
2θ (°)  I (rel.)
19.4  94
27.6  100
33.0  78
36.0  50
39.4  78
46.0  51
54.4  60
69.3  29

(9)
For Tl2Pt5S6, a structure optimized by DFT (PBE) gives the theoretical PXRD pattern in this record (Cu Kα (weighted mean of Kα1 and Kα2)).
Neutral-atom scattering factors, no anomalous dispersion.

Structural model:
```
Tl2Pt5S6
1.0
7.029 0.000 0.000
0.000 7.083 0.000
-5.503 0.000 11.226
Tl Pt S
4 10 12
Direct
0.165 0.209 0.046 Tl
0.165 0.291 0.546 Tl
0.835 0.709 0.454 Tl
0.835 0.791 0.954 Tl
0.000 0.187 0.245 Pt
0.000 0.313 0.745 Pt
0.000 0.687 0.255 Pt
0.000 0.813 0.755 Pt
0.499 0.073 0.767 Pt
0.499 0.427 0.267 Pt
0.500 0.000 0.500 Pt
0.500 0.500 0.000 Pt
0.501 0.573 0.733 Pt
0.501 0.927 0.233 Pt
0.242 0.061 0.835 S
0.242 0.439 0.335 S
0.242 0.566 0.807 S
0.242 0.934 0.307 S
0.347 0.658 0.113 S
0.347 0.842 0.613 S
0.653 0.158 0.387 S
0.653 0.342 0.887 S
0.758 0.066 0.693 S
0.758 0.434 0.193 S
0.758 0.561 0.665 S
0.758 0.939 0.165 S
```

Main lines, in order of rising 2θ (2θ from 10° to 80°):
2θ (°)  I (rel.)
28.3  43
28.5  33
28.6  33
28.9  100
31.7  74
31.9  53
32.0  78
38.4  81

(10)
For U4TlPt3S12, a structure optimized by DFT (PBE) gives the theoretical PXRD pattern in this record (Cu Kα (weighted mean of Kα1 and Kα2)).
Neutral-atom scattering factors, no anomalous dispersion.

Structural model:
```
U4TlPt3S12
1.0
-4.888 4.888 4.888
4.888 -4.888 4.888
4.888 4.888 -4.888
U Tl Pt S
4 1 3 12
Direct
0.000 0.000 0.500 U
0.000 0.500 0.000 U
0.500 0.000 0.000 U
0.500 0.500 0.500 U
0.000 0.000 0.000 Tl
0.000 0.500 0.500 Pt
0.500 0.000 0.500 Pt
0.500 0.500 0.000 Pt
0.159 0.321 0.838 S
0.162 0.483 0.321 S
0.162 0.841 0.679 S
0.321 0.162 0.483 S
0.321 0.838 0.159 S
0.483 0.321 0.162 S
0.517 0.679 0.838 S
0.679 0.162 0.841 S
0.679 0.838 0.517 S
0.838 0.159 0.321 S
0.838 0.517 0.679 S
0.841 0.679 0.162 S
```

Main lines, in order of rising 2θ (2θ from 10° to 80°):
2θ (°)  I (rel.)
25.8  100
28.9  3
36.8  24
45.5  57
53.0  15
59.8  23
66.2  6
72.3  25

(11)
For U2TlPt2S6, a structure optimized by DFT (PBE) gives the theoretical PXRD pattern in this record (Cu Kα (weighted mean of Kα1 and Kα2)).
Neutral-atom scattering factors, no anomalous dispersion.

Structural model:
```
U2TlPt2S6
1.0
6.812 0.000 0.000
0.346 6.986 0.000
3.245 -0.037 6.263
U Tl Pt S
2 1 2 6
Direct
0.169 0.050 0.185 U
0.831 0.950 0.815 U
0.500 0.500 0.500 Tl
0.119 0.747 0.945 Pt
0.881 0.253 0.055 Pt
0.084 0.773 0.455 S
0.225 0.361 0.968 S
0.463 0.872 0.818 S
0.537 0.128 0.182 S
0.775 0.639 0.032 S
0.916 0.227 0.545 S
```

Main lines, in order of rising 2θ (2θ from 10° to 80°):
2θ (°)  I (rel.)
14.1  45
19.0  100
19.3  38
20.1  40
24.7  48
31.4  45
35.9  41
36.6  44

(12)
For UTlPtS4, a structure optimized by DFT (PBE) gives the theoretical PXRD pattern in this record (Cu Kα (weighted mean of Kα1 and Kα2)).
Neutral-atom scattering factors, no anomalous dispersion.

Structural model:
```
UTlPtS4
1.0
6.428 0.000 0.000
0.000 6.041 0.000
-2.487 0.000 8.480
U Tl Pt S
2 2 2 8
Direct
0.244 0.250 0.048 U
0.756 0.750 0.952 U
0.255 0.250 0.538 Tl
0.745 0.750 0.462 Tl
0.235 0.750 0.873 Pt
0.765 0.250 0.127 Pt
0.032 0.519 0.202 S
0.032 0.981 0.202 S
0.458 0.750 0.690 S
0.481 0.750 0.117 S
0.519 0.250 0.883 S
0.542 0.250 0.310 S
0.968 0.019 0.798 S
0.968 0.481 0.798 S
```

Main lines, in order of rising 2θ (2θ from 10° to 80°):
2θ (°)  I (rel.)
10.4  100
25.7  86
26.4  60
29.0  62
29.6  96
32.4  79
34.2  72
41.9  74